Computed powder XRD pattern of Tb15Er4Zr for Cu Kα (λ = 1.5418 Å), from a DFT-relaxed cell (PBE, Alexandria).
Kinematic intensities with the Lorentz-polarization factor, no thermal factor.

Cell and atoms:
Lattice parameters (Å, degrees): 7.0724 9.9400 17.6524 90.00 90.00 90.00
Space group Cmmm (No. 65)
Symmetry-distinct sites (fractional):
Tb 0.0000 0.0000 0.0000 x2
Tb 0.0000 0.0000 0.1997 x4
Tb 0.0000 0.0000 0.3995 x4
Tb 0.2500 0.2500 0.0962 x8
Tb 0.2500 0.2500 0.2989 x8
Tb 0.2500 0.2500 0.5000 x4
Er 0.0000 0.5000 0.1945 x4
Er 0.0000 0.5000 0.3989 x4
Zr 0.0000 0.5000 0.0000 x2

The 6 most intense peaks (10° ≤ 2θ ≤ 90°), by angle:
31.06°, d 2.880, intensity 100, hkl 2 2 0; 35.94°, d 2.498, intensity 34, hkl 2 0 5; 36.15°, d 2.485, intensity 17, hkl 0 4 0; 51.90°, d 1.762, intensity 24, hkl 2 4 5; 61.59°, d 1.506, intensity 28, hkl 4 2 5; 61.85°, d 1.500, intensity 14, hkl 2 6 0

=====

Computed powder XRD pattern of Cs5Si2Se6 for Cu Kα (λ = 1.5418 Å), from a DFT-relaxed cell (PBE, Alexandria).
Kinematic intensities with the Lorentz-polarization factor, no thermal factor.

Cell and atoms:
Lattice parameters (Å, degrees): 13.8411 8.9929 18.5286 90.00 101.69 90.00
Space group C2/c (No. 15)
Symmetry-distinct sites (fractional):
Cs 0.0000 0.1217 0.2500 x4
Cs 0.0533 0.2355 0.9979 x8
Cs 0.1581 0.4237 0.7185 x8
Si 0.2269 0.3550 0.4285 x8
Se 0.0735 0.4428 0.3764 x8
Se 0.1553 0.0636 0.6343 x8
Se 0.2198 0.0870 0.4396 x8

The 6 most intense peaks (10° ≤ 2θ ≤ 90°), by angle:
22.06°, d 4.029, intensity 50, hkl 0 2 2; 23.42°, d 3.798, intensity 76, hkl 3 1 1; 24.19°, d 3.680, intensity 77, hkl 3 1 -3; 25.74°, d 3.462, intensity 100, hkl 3 1 2; 26.77°, d 3.331, intensity 73, hkl 3 1 -4; 35.75°, d 2.512, intensity 55, hkl 3 3 -1

=====

Computed powder XRD pattern of Ti6CN for Cu Kα (λ = 1.5418 Å), from a DFT-relaxed cell (PBE, Alexandria).
Kinematic intensities with the Lorentz-polarization factor, no thermal factor.

Cell and atoms:
Lattice parameters (Å, degrees): 5.1867 5.1867 9.7601 90.00 90.00 120.00
Space group P-31c (No. 163)
Symmetry-distinct sites (fractional):
Ti 0.0094 0.3321 0.1235 x12
C 0.3333 0.6667 0.2500 x2
N 0.0000 0.0000 0.0000 x2

The 6 most intense peaks (10° ≤ 2θ ≤ 90°), by angle:
34.59°, d 2.593, intensity 17, hkl 1 1 0; 36.84°, d 2.440, intensity 23, hkl 0 0 4; 39.34°, d 2.290, intensity 100, hkl 2 -1 2; 51.42°, d 1.777, intensity 19, hkl 2 -1 4; 61.98°, d 1.497, intensity 17, hkl 3 0 0; 68.03°, d 1.378, intensity 17, hkl 1 1 6

=====

Computed powder XRD pattern of Pm3Si2Cl3 for Cu Kα (λ = 1.5418 Å), from a DFT-relaxed cell (PBE, Alexandria).
Kinematic intensities with the Lorentz-polarization factor, no thermal factor.

Cell and atoms:
Lattice parameters (Å, degrees): 8.8142 8.8142 5.5340 90.00 90.00 120.00
Space group P6_3/mcm (No. 193)
Symmetry-distinct sites (fractional):
Pm 0.0000 0.3695 0.2500 x6
Si 0.3333 0.6667 0.0000 x4
Cl 0.0000 0.2394 0.7500 x6

The 6 most intense peaks (10° ≤ 2θ ≤ 90°), by angle:
20.15°, d 4.407, intensity 36, hkl 1 1 0; 25.84°, d 3.447, intensity 100, hkl 1 1 1; 35.08°, d 2.558, intensity 45, hkl 2 1 1; 35.27°, d 2.544, intensity 54, hkl 3 0 0; 38.41°, d 2.343, intensity 37, hkl 1 1 2; 44.24°, d 2.047, intensity 31, hkl 2 2 1

=====

Computed powder XRD pattern of BeCu5 for Cu Kα (λ = 1.5418 Å), from a DFT-relaxed cell (PBE, Alexandria).
Kinematic intensities with the Lorentz-polarization factor, no thermal factor.

Cell and atoms:
Lattice parameters (Å, degrees): 9.3924 2.5436 5.9098 90.00 106.05 90.00
Space group Cm (No. 8)
Symmetry-distinct sites (fractional):
Be 0.0000 0.0000 0.0000 x2
Cu 0.0464 0.0000 0.6000 x2
Cu 0.1654 0.5000 0.3280 x2
Cu 0.2052 0.5000 0.9354 x2
Cu 0.3370 0.0000 0.6834 x2
Cu 0.3884 0.0000 0.2507 x2

The 6 most intense peaks (10° ≤ 2θ ≤ 90°), by angle:
41.24°, d 2.189, intensity 35, hkl 1 1 1; 42.02°, d 2.150, intensity 38, hkl 2 0 2; 43.80°, d 2.067, intensity 71, hkl 4 0 -2; 46.77°, d 1.942, intensity 100, hkl 3 1 0; 47.16°, d 1.927, intensity 97, hkl 1 1 -2; 47.28°, d 1.923, intensity 34, hkl 4 0 1

=====

Computed powder XRD pattern of NaAlSbAu3 for Cu Kα (λ = 1.5418 Å), from a DFT-relaxed cell (PBE, Alexandria).
Kinematic intensities with the Lorentz-polarization factor, no thermal factor.

Cell and atoms:
Lattice parameters (Å, degrees): 6.6500 14.5752 5.7738 90.00 109.91 90.00
Space group C2/c (No. 15)
Symmetry-distinct sites (fractional):
Na 0.0000 0.2311 0.2500 x4
Al 0.0000 0.0129 0.7500 x4
Sb 0.0000 0.3792 0.7500 x4
Au 0.0000 0.1927 0.7500 x4
Au 0.2172 0.4236 0.4159 x8

The 6 most intense peaks (10° ≤ 2θ ≤ 90°), by angle:
25.48°, d 3.496, intensity 72, hkl 1 3 -1; 25.87°, d 3.444, intensity 86, hkl 1 1 1; 31.13°, d 2.873, intensity 45, hkl 2 2 0; 33.93°, d 2.642, intensity 45, hkl 1 5 0; 35.63°, d 2.520, intensity 100, hkl 2 0 -2; 44.27°, d 2.046, intensity 43, hkl 1 5 -2

=====

Computed powder XRD pattern of CrW2 for Cu Kα (λ = 1.5418 Å), from a DFT-relaxed cell (PBE, Alexandria).
Kinematic intensities with the Lorentz-polarization factor, no thermal factor.

Cell and atoms:
Lattice parameters (Å, degrees): 3.1205 4.4138 12.9312 90.00 90.00 90.00
Space group Fmmm (No. 69)
Symmetry-distinct sites (fractional):
Cr 0.0000 0.0000 0.0000 x4
W 0.0000 0.0000 0.3389 x8

The 6 most intense peaks (10° ≤ 2θ ≤ 90°), by angle:
13.70°, d 6.466, intensity 22, hkl 0 0 2; 35.92°, d 2.500, intensity 16, hkl 1 1 1; 40.89°, d 2.207, intensity 26, hkl 0 2 0; 41.15°, d 2.193, intensity 100, hkl 1 1 3; 41.92°, d 2.155, intensity 23, hkl 0 0 6; 74.64°, d 1.272, intensity 17, hkl 1 3 3

=====

Computed powder XRD pattern of AgPd2Br8 for Cu Kα (λ = 1.5418 Å), from a DFT-relaxed cell (PBE, Alexandria).
Kinematic intensities with the Lorentz-polarization factor, no thermal factor.

Cell and atoms:
Lattice parameters (Å, degrees): 13.3531 8.6232 7.6765 90.00 120.74 90.00
Space group C2/m (No. 12)
Symmetry-distinct sites (fractional):
Ag 0.0000 0.0000 0.0000 x2
Pd 0.1180 0.0000 0.5922 x4
Br 0.0956 0.2017 0.3499 x8
Br 0.1517 0.5000 0.2321 x4
Br 0.1827 0.0000 0.9663 x4

The 6 most intense peaks (10° ≤ 2θ ≤ 90°), by angle:
12.84°, d 6.894, intensity 100, hkl 1 1 0; 15.48°, d 5.726, intensity 31, hkl 1 1 -1; 20.60°, d 4.312, intensity 24, hkl 0 2 0; 26.81°, d 3.325, intensity 20, hkl 4 0 -1; 31.22°, d 2.865, intensity 45, hkl 2 2 -2; 35.78°, d 2.510, intensity 48, hkl 5 1 -1